SiBH3CNCl3: theoretical powder diffraction line list (Cu Kα X-rays), based on a crystal structure in the Materials Project, relaxed with PBE.

Most intense lines, 2θ from 10° to 80°, in order of falling intensity:
d (Å)	Position (°2θ)	intensity
5.362	16.53	1000
4.391	20.22	955
3.137	28.46	659
3.962	22.44	585
6.093	14.54	544
2.986	29.93	384

Cell and atoms:
```
SiBH3CNCl3
1.0
8.9569 5.1713 4.4172
-8.9569 5.1713 4.4172
0.0000 -10.3426 4.4172
Si B H C N Cl
6 6 18 6 6 18
Cartesian
-1.6560 -6.9629 4.4172
-5.2020 4.9156 4.4172
-3.7549 -0.2557 6.6258
2.0989 -3.1240 6.6258
1.6560 3.3797 6.6258
6.8580 2.0473 4.4172
-1.4611 -0.0497 4.8308
0.7736 -1.2405 4.8308
0.6875 1.2902 4.8308
-0.7736 -1.2405 11.4565
-0.6875 1.2902 11.4565
1.4611 -0.0497 11.4565
-7.6704 -3.1132 7.0113
-5.4522 -4.3647 6.6993
-3.4499 -0.9633 4.3588
-3.5047 0.8066 4.4907
-1.1391 -2.1432 4.8027
1.0538 -3.4385 4.4907
-1.2865 2.0580 4.8027
2.5592 -2.5060 4.3588
0.8907 3.4693 4.3588
2.4256 0.0851 4.8027
2.4509 2.6318 4.4907
-2.5592 -2.5060 10.9846
-1.0538 6.9041 6.6993
6.5314 -5.0862 7.0113
6.5060 -2.5394 6.6993
1.1391 8.1994 7.0113
-0.8907 3.4693 10.9846
3.4499 -0.9633 10.9846
-5.9064 -5.2729 7.1283
-3.0505 -0.1016 4.9197
1.6133 -2.5910 4.9197
1.4372 2.6927 4.9197
-1.6133 7.7515 7.1283
7.5197 -2.4786 7.1283
-0.6623 -1.2437 4.8038
-0.7459 1.1954 4.8038
1.4082 0.0482 4.8038
-1.4082 0.0483 11.4296
0.6623 -1.2437 11.4296
0.7459 1.1954 11.4296
-2.5502 -5.1037 4.4002
-5.8121 -0.4109 6.6087
-5.8977 3.2285 5.3600
0.1529 -6.7218 5.3600
-3.1448 4.7604 4.4002
-5.6543 -3.7952 9.9962
-3.0592 -1.9428 7.5686
-3.3026 1.3761 7.7876
0.4596 -3.5482 7.7876
3.2619 -4.8280 6.6087
5.6950 0.3433 4.4001
-0.1529 3.6207 7.5686
3.2121 -1.6780 7.5686
2.5502 5.2389 6.6087
2.8430 2.1721 7.7876
5.7448 3.4933 5.3600
-0.4596 6.7944 9.9962
6.1139 -2.9992 9.9962
```